# 1
Starting from a crystal structure in the Materials Project, relaxed with GGA-PBE, the powder XRD pattern of LiAl2Cu2O6 was simulated for Cu Ka.
Lines closer than 0.1° are merged.

Most intense lines, 2θ from 10° to 90°, most intense first:
d (Å), two_theta, I_rel
2.570, 34.91, 100
7.037, 12.58, 47
1.509, 61.43, 35
2.451, 36.67, 32
1.746, 52.41, 31
2.815, 31.79, 29
3.519, 25.31, 29
2.284, 39.46, 27
1.594, 57.86, 25
2.098, 43.11, 23

Structural model:
a = 3.019 Å, b = 3.019 Å, c = 14.075 Å
α = 90.00°, β = 90.00°, γ = 120.00°
Sites, in units of the cell vectors:
Li (0.000, 0.000, 0.000)
Al (0.000, 0.000, 0.402)
Al (0.000, 0.000, 0.829)
Cu (0.333, 0.667, 0.612)
Cu (0.667, 0.333, 0.193)
O (0.000, 0.000, 0.135)
O (0.000, 0.000, 0.628)
O (0.333, 0.667, 0.467)
O (0.333, 0.667, 0.773)
O (0.667, 0.333, 0.335)
O (0.667, 0.333, 0.912)

***

# 2
Starting from a crystal structure in the Materials Project, relaxed with GGA-PBE, the powder XRD pattern of Er2TeO6 was simulated for Cu Ka.
Lines closer than 0.1° are merged.

Most intense lines, 2θ from 10° to 90°, most intense first:
d (Å), two_theta, I_rel
3.417, 26.08, 100
1.842, 49.49, 42
2.642, 33.93, 39
3.138, 28.44, 36
1.714, 53.45, 22
2.090, 43.29, 15
2.588, 34.66, 14
2.569, 34.93, 14
2.996, 29.82, 14
1.604, 57.46, 11

Structural model:
a = 9.153 Å, b = 9.153 Å, c = 5.137 Å
α = 90.00°, β = 90.00°, γ = 120.00°
Sites, in units of the cell vectors:
Er (0.000, 0.287, 0.000)
Er (0.000, 0.625, 0.500)
Er (0.287, 0.000, 0.000)
Er (0.375, 0.375, 0.500)
Er (0.625, 0.000, 0.500)
Er (0.713, 0.713, 0.000)
Te (0.000, 0.000, 0.500)
Te (0.333, 0.667, 0.007)
Te (0.667, 0.333, 0.993)
O (0.083, 0.881, 0.288)
O (0.119, 0.202, 0.288)
O (0.132, 0.543, 0.223)
O (0.202, 0.119, 0.712)
O (0.222, 0.759, 0.792)
O (0.241, 0.463, 0.792)
O (0.411, 0.868, 0.223)
O (0.457, 0.589, 0.223)
O (0.463, 0.241, 0.208)
O (0.537, 0.778, 0.792)
O (0.543, 0.132, 0.777)
O (0.589, 0.457, 0.777)
O (0.759, 0.222, 0.208)
O (0.778, 0.537, 0.208)
O (0.798, 0.917, 0.288)
O (0.868, 0.411, 0.777)
O (0.881, 0.083, 0.712)
O (0.917, 0.798, 0.712)

***

# 3
Starting from a crystal structure in the Materials Project, relaxed with GGA-PBE, the powder XRD pattern of Cs2MoSe4 was simulated for Cu Ka.
Lines closer than 0.1° are merged.

Most intense lines, 2θ from 10° to 90°, most intense first:
d (Å), two_theta, I_rel
3.369, 26.45, 100
3.438, 25.92, 95
3.019, 29.59, 95
3.805, 23.38, 64
1.794, 50.91, 62
2.550, 35.19, 53
1.903, 47.80, 48
2.788, 32.11, 45
2.033, 44.58, 45
2.802, 31.94, 42

Structural model:
a = 10.666 Å, b = 7.611 Å, c = 13.477 Å
α = 90.00°, β = 90.00°, γ = 90.00°
Sites, in units of the cell vectors:
Cs (0.046, 0.250, 0.158)
Cs (0.167, 0.750, 0.390)
Cs (0.333, 0.250, 0.890)
Cs (0.454, 0.750, 0.658)
Cs (0.546, 0.250, 0.342)
Cs (0.667, 0.750, 0.110)
Cs (0.833, 0.250, 0.610)
Cs (0.954, 0.750, 0.842)
Mo (0.243, 0.250, 0.575)
Mo (0.257, 0.750, 0.075)
Mo (0.743, 0.250, 0.925)
Mo (0.757, 0.750, 0.425)
Se (0.042, 0.750, 0.113)
Se (0.148, 0.002, 0.643)
Se (0.148, 0.498, 0.643)
Se (0.214, 0.250, 0.404)
Se (0.286, 0.750, 0.904)
Se (0.352, 0.502, 0.143)
Se (0.352, 0.998, 0.143)
Se (0.458, 0.250, 0.613)
Se (0.542, 0.750, 0.387)
Se (0.648, 0.002, 0.857)
Se (0.648, 0.498, 0.857)
Se (0.714, 0.250, 0.096)
Se (0.786, 0.750, 0.596)
Se (0.852, 0.502, 0.357)
Se (0.852, 0.998, 0.357)
Se (0.958, 0.250, 0.887)